Starting from a crystal structure in Alexandria, relaxed with GGA-PBE, the powder XRD pattern of ThInHg2 was simulated for a wavelength of 1.5418 Å.

Structural model:
```
4
Lattice="4.706 0.000 0.000 0.000 4.706 0.000 0.000 0.000 4.719" Properties=species:S:1:pos:R:3 pbc="T T T"
Th 0.000 0.000 0.000
In 2.353 2.353 0.000
Hg 0.000 2.353 2.360
Hg 2.353 0.000 2.360
```

The 12 most intense peaks (2θ from 10° to 90°), sorted by position:
2θ = 18.9°, intensity 4.4, (1 0 0)
2θ = 26.8°, intensity 3.9, (1 0 1)
2θ = 32.9°, intensity 100.0, (1 1 1)
2θ = 38.1°, intensity 16.9, (0 0 2)
2θ = 38.3°, intensity 33.6, (2 0 0)
2θ = 47.3°, intensity 1.9, (2 1 1)
2θ = 55.2°, intensity 35.3, (2 2 0)
2θ = 65.7°, intensity 14.0, (1 1 3)
2θ = 65.8°, intensity 27.8, (3 1 1)
2θ = 69.1°, intensity 12.1, (2 2 2)
2θ = 81.6°, intensity 2.0, (0 0 4)
2θ = 81.9°, intensity 3.9, (4 0 0)